For Fe2C3N6, the GGA-PBE geometry in the Materials Project gives the computed powder diffraction line list in this record (copper Kα).
Neutral-atom scattering factors, no anomalous dispersion.

Unit cell a=5.2275 b=5.2275 c=14.3339 alpha=90.00 beta=90.00 gamma=120.00
Space group R32 (No. 155, hexagonal axes)
Asymmetric unit:
Fe (0.0000, 0.0000, 0.1719) (multiplicity 6)
C (0.0000, 0.6900, 0.0000) (multiplicity 9)
N (0.0027, 0.5974, 0.4165) (multiplicity 18)

Principal peaks in the range 5 to 70 degrees two-theta, in order of rising 2θ:
hkl 0 0 3, d = 4.778 Å, I = 41; hkl 1 0 1, d = 4.317 Å, I = 88; hkl 0 1 2, d = 3.827 Å, I = 61; hkl 1 1 0, d = 2.614 Å, I = 47; hkl 1 1 3, d = 2.293 Å, I = 100; hkl 1 1 6, d = 1.763 Å, I = 42